Rb3DyTm2Te6: theoretical XRD peak list (Cu Kα (λ = 1.5418 Å)), based on a structure optimized by DFT (PBE).
Peak positions follow from Bragg's law for the DFT cell and can differ from measured ones.

Cell and atoms:
```
data_Rb3DyTm2Te6
_symmetry_space_group_name_H-M 'P 1'
_symmetry_Int_Tables_number 1
_cell_length_a 7.7894
_cell_length_b 7.7894
_cell_length_c 8.9322
_cell_angle_alpha 98.36
_cell_angle_beta 98.36
_cell_angle_gamma 120.00
loop_
_symmetry_equiv_pos_as_xyz
'x,y,z'
loop_
_atom_site_label
_atom_site_type_symbol
_atom_site_fract_x
_atom_site_fract_y
_atom_site_fract_z
Rb1 Rb 0.0000 0.0000 0.0000
Rb2 Rb 0.3340 0.6660 0.0000
Rb3 Rb 0.6660 0.3340 0.0000
Dy1 Dy 0.5000 0.5000 0.5000
Tm1 Tm 0.1667 0.8333 0.5000
Tm2 Tm 0.8333 0.1667 0.5000
Te1 Te 0.0980 0.4341 0.3023
Te2 Te 0.2297 0.2297 0.6975
Te3 Te 0.4341 0.0980 0.3023
Te4 Te 0.5659 0.9020 0.6977
Te5 Te 0.7703 0.7703 0.3025
Te6 Te 0.9020 0.5659 0.6977
```

Principal peaks in the range 2θ from 10° to 80°, by angle:
d (Å), intensity
8.546, 316
3.328, 1000
2.668, 153
2.475, 332
2.249, 373
2.000, 102
1.863, 191
1.664, 99
1.549, 100
1.435, 161